No. 1
Calculated powder diffraction line list of EuTa2O6 for Cu Kα, 1.54184 Å, from a DFT-relaxed cell (PBE, the Materials Project).
Neutral-atom scattering factors, no anomalous dispersion.

Most intense lines, 2θ = 5–70°, low angle first:
d_spacing, I/Imax
4.982, 13
3.850, 20
3.174, 18
3.103, 76
3.047, 100
2.780, 29
2.416, 13
2.267, 21
1.925, 18
1.757, 26
1.636, 25
1.601, 12

Crystal structure
```
EuTa2O6
1.0
11.217 0.000 0.000
0.000 7.701 0.000
0.000 0.000 5.561
Eu Ta O
4 8 24
direct
0.042 0.250 0.044
0.458 0.750 0.544
0.542 0.250 0.456
0.958 0.750 0.956
0.141 0.504 0.540
0.141 0.996 0.540
0.359 0.004 0.040
0.359 0.496 0.040
0.641 0.504 0.960
0.641 0.996 0.960
0.859 0.004 0.460
0.859 0.496 0.460
0.024 0.537 0.276
0.024 0.963 0.276
0.126 0.750 0.642
0.145 0.250 0.461
0.213 0.051 0.865
0.213 0.449 0.865
0.287 0.551 0.365
0.287 0.949 0.365
0.355 0.750 0.961
0.374 0.250 0.142
0.476 0.037 0.776
0.476 0.463 0.776
0.524 0.537 0.224
0.524 0.963 0.224
0.626 0.750 0.858
0.645 0.250 0.039
0.713 0.051 0.635
0.713 0.449 0.635
0.787 0.551 0.135
0.787 0.949 0.135
0.855 0.750 0.539
0.874 0.250 0.358
0.976 0.037 0.724
0.976 0.463 0.724
```


No. 2
Calculated powder diffraction line list of Eu3TaO6 for Cu Kα, 1.54184 Å, from a DFT-relaxed cell (PBE, the Materials Project).
Neutral-atom scattering factors, no anomalous dispersion.

Most intense lines, 2θ = 5–70°, low angle first:
d_spacing, I/Imax
4.911, 1
4.253, 1
3.007, 100
2.455, 1
2.126, 28
1.736, 41
1.504, 17
1.345, 18

Crystal structure
```
Eu3TaO6
1.0
0.000 4.253 4.253
4.253 0.000 4.253
4.253 4.253 0.000
Eu Ta O
3 1 6
direct
0.000 0.000 0.000
0.250 0.250 0.250
0.750 0.750 0.750
0.500 0.500 0.500
0.266 0.266 0.734
0.266 0.734 0.266
0.266 0.734 0.734
0.734 0.266 0.266
0.734 0.266 0.734
0.734 0.734 0.266
```


No. 3
Calculated powder diffraction line list of TbEu2TaO6 for Cu Kα, 1.54184 Å, from a DFT-relaxed cell (PBE, the Materials Project).
Neutral-atom scattering factors, no anomalous dispersion.

Most intense lines, 2θ = 5–70°, low angle first:
d_spacing, I/Imax
4.866, 1
4.214, 2
2.980, 100
2.107, 28
1.884, 1
1.720, 41
1.490, 17

Crystal structure
```
TbEu2TaO6
1.0
0.000 4.214 4.214
4.214 0.000 4.214
4.214 4.214 0.000
Tb Eu Ta O
1 2 1 6
direct
0.000 0.000 0.000
0.250 0.250 0.250
0.750 0.750 0.750
0.500 0.500 0.500
0.264 0.264 0.736
0.264 0.736 0.264
0.264 0.736 0.736
0.736 0.264 0.264
0.736 0.264 0.736
0.736 0.736 0.264
```


No. 4
Calculated powder diffraction line list of Eu2YTaO6 for Cu Kα, 1.54184 Å, from a DFT-relaxed cell (PBE, the Materials Project).
Neutral-atom scattering factors, no anomalous dispersion.

Most intense lines, 2θ = 5–70°, low angle first:
d_spacing, I/Imax
4.865, 7
2.979, 100
2.541, 3
2.433, 2
2.107, 29
1.933, 1
1.720, 41
1.622, 1
1.490, 18
1.424, 1

Crystal structure
```
Eu2YTaO6
1.0
0.000 4.214 4.214
4.214 0.000 4.214
4.214 4.214 0.000
Eu Y Ta O
2 1 1 6
direct
0.250 0.250 0.250
0.750 0.750 0.750
0.000 0.000 0.000
0.500 0.500 0.500
0.263 0.263 0.737
0.263 0.737 0.263
0.263 0.737 0.737
0.737 0.263 0.263
0.737 0.263 0.737
0.737 0.737 0.263
```


No. 5
Calculated powder diffraction line list of EuTcO3 for Cu Kα, 1.54184 Å, from a DFT-relaxed cell (PBE, the Materials Project).
Neutral-atom scattering factors, no anomalous dispersion.

Most intense lines, 2θ = 5–70°, low angle first:
d_spacing, I/Imax
3.968, 2
2.806, 100
2.291, 7
1.984, 29
1.775, 1
1.620, 39
1.403, 18

Crystal structure
```
EuTcO3
1.0
3.968 0.000 0.000
0.000 3.968 0.000
0.000 0.000 3.968
Eu Tc O
1 1 3
direct
0.000 0.000 0.000
0.500 0.500 0.500
0.000 0.500 0.500
0.500 0.000 0.500
0.500 0.500 0.000
```


No. 6
Calculated powder diffraction line list of EuTiO14 for Cu Kα, 1.54184 Å, from a DFT-relaxed cell (PBE, the Materials Project).
Neutral-atom scattering factors, no anomalous dispersion.

Most intense lines, 2θ = 5–70°, low angle first:
d_spacing, I/Imax
6.150, 15
3.766, 100
3.212, 33
2.663, 10
2.444, 27
2.174, 91
1.883, 17
1.801, 25
1.684, 34
1.537, 13
1.423, 23
1.387, 10

Crystal structure
```
EuTiO14
1.0
0.000 5.326 5.326
5.326 0.000 5.326
5.326 5.326 0.000
Eu Ti O
2 2 28
direct
0.125 0.125 0.125
0.875 0.875 0.875
0.375 0.375 0.375
0.625 0.625 0.625
0.000 0.000 0.000
0.000 0.000 0.500
0.000 0.500 0.000
0.094 0.358 0.358
0.094 0.358 0.690
0.094 0.690 0.358
0.310 0.642 0.642
0.310 0.642 0.906
0.310 0.906 0.642
0.358 0.094 0.358
0.358 0.094 0.690
0.358 0.358 0.094
0.358 0.358 0.690
0.358 0.690 0.094
0.358 0.690 0.358
0.500 0.000 0.000
0.642 0.310 0.642
0.642 0.310 0.906
0.642 0.642 0.310
0.642 0.642 0.906
0.642 0.906 0.310
0.642 0.906 0.642
0.690 0.094 0.358
0.690 0.358 0.094
0.690 0.358 0.358
0.906 0.310 0.642
0.906 0.642 0.310
0.906 0.642 0.642
```


No. 7
Calculated powder diffraction line list of Eu2TiO4 for Cu Kα, 1.54184 Å, from a DFT-relaxed cell (PBE, the Materials Project).
Neutral-atom scattering factors, no anomalous dispersion.

Most intense lines, 2θ = 5–70°, low angle first:
d_spacing, I/Imax
3.737, 33
3.108, 15
2.847, 100
2.770, 68
2.069, 46
1.959, 34
1.735, 9
1.658, 25
1.618, 13
1.614, 37
1.424, 13
1.385, 10

Crystal structure
```
Eu2TiO4
1.0
-1.959 1.959 6.217
1.959 -1.959 6.217
1.959 1.959 -6.217
Eu Ti O
2 1 4
direct
0.145 0.145 0.000
0.855 0.855 0.000
0.500 0.500 0.000
0.000 0.500 0.500
0.336 0.336 0.000
0.500 0.000 0.500
0.664 0.664 0.000
```


No. 8
Calculated powder diffraction line list of Eu3Ti2O7 for Cu Kα, 1.54184 Å, from a DFT-relaxed cell (PBE, the Materials Project).
Neutral-atom scattering factors, no anomalous dispersion.

Most intense lines, 2θ = 5–70°, low angle first:
d_spacing, I/Imax
3.855, 27
3.379, 14
2.821, 100
2.776, 64
2.145, 33
2.027, 12
1.963, 35
1.698, 11
1.668, 12
1.637, 14
1.611, 38
1.410, 13

Crystal structure
```
Eu3Ti2O7
1.0
-1.963 1.963 10.137
1.963 -1.963 10.137
1.963 1.963 -10.137
Eu Ti O
3 2 7
direct
0.000 0.000 0.000
0.184 0.184 0.000
0.816 0.816 0.000
0.402 0.402 0.000
0.598 0.598 0.000
0.096 0.596 0.500
0.303 0.303 0.000
0.404 0.904 0.500
0.500 0.500 0.000
0.596 0.096 0.500
0.697 0.697 0.000
0.904 0.404 0.500
```


No. 9
Calculated powder diffraction line list of EuUO3 for Cu Kα, 1.54184 Å, from a DFT-relaxed cell (PBE, the Materials Project).
Neutral-atom scattering factors, no anomalous dispersion.

Most intense lines, 2θ = 5–70°, low angle first:
d_spacing, I/Imax
4.280, 10
3.087, 24
3.025, 100
2.972, 23
2.140, 33
1.770, 17
1.757, 11
1.735, 11
1.726, 23
1.513, 13
1.354, 8
1.352, 10

Crystal structure
```
EuUO3
1.0
6.174 0.000 0.000
0.000 8.549 0.000
0.000 0.000 5.944
Eu U O
4 4 12
direct
0.049 0.250 0.011
0.451 0.750 0.511
0.549 0.250 0.489
0.951 0.750 0.989
0.000 0.000 0.500
0.000 0.500 0.500
0.500 0.000 0.000
0.500 0.500 0.000
0.047 0.750 0.387
0.194 0.560 0.804
0.194 0.940 0.804
0.306 0.060 0.304
0.306 0.440 0.304
0.453 0.250 0.887
0.547 0.750 0.113
0.694 0.560 0.696
0.694 0.940 0.696
0.806 0.060 0.196
0.806 0.440 0.196
0.953 0.250 0.613
```


No. 10
Calculated powder diffraction line list of Eu2Y2O5 for Cu Kα, 1.54184 Å, from a DFT-relaxed cell (PBE, the Materials Project).
Neutral-atom scattering factors, no anomalous dispersion.

Most intense lines, 2θ = 5–70°, low angle first:
d_spacing, I/Imax
7.107, 21
3.432, 31
3.061, 100
3.013, 41
2.982, 61
2.834, 26
2.565, 30
2.264, 19
2.065, 36
1.749, 22
1.690, 22
1.531, 37

Crystal structure
```
Eu2Y2O5
1.0
15.436 0.000 0.000
0.000 3.537 0.000
-4.702 0.000 11.099
Eu Y O
8 8 20
direct
0.058 0.018 0.401
0.058 0.982 0.901
0.442 0.473 0.342
0.442 0.527 0.842
0.558 0.473 0.158
0.558 0.527 0.658
0.942 0.018 0.099
0.942 0.982 0.599
0.176 0.481 0.730
0.176 0.519 0.230
0.325 0.023 0.554
0.325 0.977 0.054
0.675 0.023 0.946
0.675 0.977 0.446
0.824 0.481 0.770
0.824 0.519 0.270
0.000 0.478 0.750
0.000 0.522 0.250
0.105 0.020 0.112
0.105 0.980 0.612
0.207 0.026 0.373
0.207 0.974 0.873
0.293 0.489 0.165
0.293 0.511 0.665
0.396 0.476 0.006
0.396 0.524 0.506
0.500 0.030 0.750
0.500 0.970 0.250
0.604 0.476 0.494
0.604 0.524 0.994
0.707 0.489 0.335
0.707 0.511 0.835
0.793 0.026 0.127
0.793 0.974 0.627
0.895 0.020 0.388
0.895 0.980 0.888
```


No. 11
Calculated powder diffraction line list of EuZr4O9 for Cu Kα, 1.54184 Å, from a DFT-relaxed cell (PBE, the Materials Project).
Neutral-atom scattering factors, no anomalous dispersion.

Most intense lines, 2θ = 5–70°, low angle first:
d_spacing, I/Imax
5.064, 8
3.086, 98
2.959, 100
2.626, 17
2.611, 33
1.907, 18
1.852, 64
1.791, 17
1.603, 25
1.591, 11
1.573, 11
1.549, 24

Crystal structure
```
EuZr4O9
1.0
-1.791 9.536 2.626
1.791 -9.536 2.626
1.791 9.536 -2.626
Eu Zr O
1 4 9
direct
0.000 0.000 0.000
0.137 0.940 0.196
0.327 0.939 0.388
0.550 0.939 0.612
0.744 0.940 0.804
0.090 0.200 0.890
0.310 0.200 0.110
0.334 0.834 0.500
0.398 0.694 0.703
0.495 0.195 0.300
0.596 0.695 0.901
0.794 0.695 0.099
0.896 0.195 0.700
0.991 0.694 0.297
```


No. 12
Calculated powder diffraction line list of EuP2Os2 for Cu Kα, 1.54184 Å, from a DFT-relaxed cell (PBE, the Materials Project).
Neutral-atom scattering factors, no anomalous dispersion.

Most intense lines, 2θ = 5–70°, low angle first:
d_spacing, I/Imax
5.402, 34
3.816, 14
2.884, 7
2.700, 44
2.544, 100
2.039, 34
1.971, 14
1.908, 14
1.627, 31
1.527, 25
1.442, 12
1.350, 7

Crystal structure
```
EuP2Os2
1.0
-2.039 2.039 5.402
2.039 -2.039 5.402
2.039 2.039 -5.402
Eu P Os
1 2 2
direct
0.000 0.000 0.000
0.357 0.357 0.000
0.643 0.643 0.000
0.250 0.750 0.500
0.750 0.250 0.500
```